Structure and computed XRD peak list of KP4W8O32 (a cell relaxed with PBE+U; Cu Kα (λ = 1.5418 Å)).

Cell and atoms:
```
KP4W8O32
1.0
6.875 -5.436 0.000
6.875 5.436 0.000
-5.159 0.000 8.938
K P W O
1 4 8 32
Direct
0.000 0.000 0.000
0.106 0.603 0.880
0.280 0.280 0.142
0.603 0.106 0.880
0.777 0.777 0.144
0.159 0.159 0.759
0.180 0.679 0.603
0.201 0.201 0.418
0.224 0.722 0.263
0.660 0.660 0.764
0.679 0.180 0.603
0.703 0.703 0.422
0.722 0.224 0.263
0.148 0.415 0.844
0.168 0.168 0.590
0.170 0.671 0.796
0.175 0.928 0.706
0.188 0.188 0.974
0.194 0.697 0.049
0.196 0.448 0.516
0.205 0.951 0.314
0.211 0.715 0.435
0.213 0.213 0.224
0.233 0.468 0.177
0.415 0.148 0.844
0.434 0.680 0.705
0.448 0.196 0.516
0.452 0.708 0.320
0.468 0.233 0.177
0.657 0.917 0.846
0.671 0.170 0.796
0.671 0.671 0.586
0.680 0.434 0.705
0.686 0.686 0.975
0.694 0.940 0.513
0.697 0.194 0.049
0.708 0.452 0.320
0.714 0.714 0.233
0.715 0.211 0.435
0.731 0.965 0.177
0.917 0.657 0.846
0.928 0.175 0.706
0.940 0.694 0.513
0.951 0.205 0.314
0.965 0.731 0.177
```

Peak list (10 most intense, 2θ from 10° to 80°, by angle)
- 17.9°, rel. 29.0
- 22.1°, rel. 100.0
- 25.9°, rel. 42.3
- 27.2°, rel. 24.6
- 31.2°, rel. 25.5
- 33.0°, rel. 15.3
- 34.3°, rel. 36.4
- 45.2°, rel. 16.0
- 51.6°, rel. 10.8
- 52.8°, rel. 20.3